1.
Simulated PXRD pattern
Compound: Pa2PSe2N
Radiation: Cu Kα (weighted mean of Kα1 and Kα2)
Structure: a PBE-relaxed structure
No peak broadening, texture or thermal motion is included.

Principal peaks in the range 10 to 80 degrees two-theta, by angle:
hkl	2θ/deg	I_rel
1 1 0	14.72	364
1 2 1	24.60	1000
2 0 0	26.65	411
0 0 2	32.53	476
1 4 1	33.47	944
2 3 1	37.04	482
3 1 0	41.00	256
2 0 2	42.53	354
1 6 1	44.84	277
2 7 1	56.77	250

Crystal structure
abc: 6.6900 13.7848 5.5057
angles: 90.00 90.00 90.00
Space group Ibam (No. 72)
One atom of each set of equivalent atoms:
1 Pa 0.1900 0.0980 0.0000 (multiplicity 8)
2 P 0.0000 0.5000 0.2500 (multiplicity 4)
3 Se 0.1972 0.1894 0.5000 (multiplicity 8)
4 N 0.0000 0.0000 0.2500 (multiplicity 4)

=====

2.
Simulated PXRD pattern
Compound: CaPH5O6
Radiation: Cu Kα (weighted mean of Kα1 and Kα2)
Structure: a PBE-relaxed structure
No peak broadening, texture or thermal motion is included.

Principal peaks in the range 10 to 80 degrees two-theta, by angle:
hkl	2θ/deg	I_rel
1 1 0	16.74	1000
0 4 0	20.07	85
1 5 0	29.95	227
1 1 -2	30.57	90
1 5 -1	31.05	92
2 0 0	32.24	101
0 2 2	33.83	188
2 4 -1	36.50	112
1 1 2	41.76	125
0 6 2	44.84	146

Crystal structure
abc: 5.9815 17.6926 5.9860
angles: 90.00 111.87 90.00
Space group Cc (No. 9)
One atom of each set of equivalent atoms:
1 Ca 0.0000 0.0717 0.0000 (multiplicity 4)
2 P 0.0660 0.0951 0.5342 (multiplicity 4)
3 H 0.0990 0.2966 0.0096 (multiplicity 4)
4 H 0.1168 0.2291 0.8327 (multiplicity 4)
5 H 0.1777 0.2785 0.3847 (multiplicity 4)
6 H 0.2859 0.3207 0.8199 (multiplicity 4)
7 H 0.4872 0.1561 0.7995 (multiplicity 4)
8 O 0.0757 0.2834 0.8400 (multiplicity 4)
9 O 0.1517 0.3277 0.3053 (multiplicity 4)
10 O 0.2047 0.1389 0.7712 (multiplicity 4)
11 O 0.2178 0.0457 0.4361 (multiplicity 4)
12 O 0.3670 0.4517 0.0756 (multiplicity 4)
13 O 0.4462 0.3451 0.8180 (multiplicity 4)

=====

3.
Simulated PXRD pattern
Compound: SrCeEuNbO6
Radiation: Cu Kα (weighted mean of Kα1 and Kα2)
Structure: a PBE-relaxed structure
No peak broadening, texture or thermal motion is included.

Principal peaks in the range 10 to 80 degrees two-theta, by angle:
hkl	2θ/deg	I_rel
0 2 0	29.54	452
1 1 2	29.93	1000
1 1 -2	30.13	990
2 0 0	30.41	463
2 2 0	42.90	453
0 0 4	43.06	262
1 3 -2	52.77	155
0 2 4	53.09	210
3 1 2	53.61	220
3 1 -2	53.97	233

Crystal structure
abc: 5.8798 6.0480 8.4022
angles: 89.91 89.50 89.94
Space group P-1 (No. 2)
One atom of each set of equivalent atoms:
1 Sr 0.0125 0.0474 0.2487 (multiplicity 2)
2 Ce 0.0000 0.5000 0.0000 (multiplicity 1)
3 Ce 0.5000 0.0000 0.5000 (multiplicity 1)
4 Eu 0.4830 0.5500 0.2501 (multiplicity 2)
5 Nb 0.0000 0.5000 0.5000 (multiplicity 1)
6 Nb 0.5000 0.0000 0.0000 (multiplicity 1)
7 O 0.1071 0.5324 0.7321 (multiplicity 2)
8 O 0.1885 0.7764 0.4424 (multiplicity 2)
9 O 0.2199 0.8086 0.0483 (multiplicity 2)
10 O 0.2793 0.3091 0.4456 (multiplicity 2)
11 O 0.3160 0.2812 0.0588 (multiplicity 2)
12 O 0.4035 0.0425 0.7672 (multiplicity 2)

=====

4.
Simulated PXRD pattern
Compound: PmCd11
Radiation: Cu Kα (weighted mean of Kα1 and Kα2)
Structure: a PBE-relaxed structure
No peak broadening, texture or thermal motion is included.

Principal peaks in the range 10 to 80 degrees two-theta, by angle:
hkl	2θ/deg	I_rel
3 2 1	29.30	319
3 1 2	33.07	1000
4 2 0	33.54	620
1 0 3	35.46	293
2 1 3	38.63	269
5 0 1	39.45	842
4 2 2	41.00	302
5 5 2	59.67	317
7 4 1	63.96	131
8 4 0	70.49	159

Crystal structure
abc: 11.9486 11.9486 7.7702
angles: 90.00 90.00 90.00
Space group I4_1/amd (No. 141, origin choice 2)
One atom of each set of equivalent atoms:
1 Pm 0.0000 0.2500 0.3750 (multiplicity 4)
2 Cd 0.0000 0.0000 0.0000 (multiplicity 8)
3 Cd 0.0000 0.2500 0.8750 (multiplicity 4)
4 Cd 0.1203 0.0486 0.6693 (multiplicity 32)

=====

5.
Simulated PXRD pattern
Compound: Li5Mg2Rh2
Radiation: Cu Kα (weighted mean of Kα1 and Kα2)
Structure: a PBE-relaxed structure
No peak broadening, texture or thermal motion is included.

Principal peaks in the range 10 to 80 degrees two-theta, by angle:
hkl	2θ/deg	I_rel
0 1 1	10.88	217
0 0 2	16.35	1000
1 0 1	21.83	583
0 1 3	25.70	184
1 1 2	27.11	222
1 4 1	36.60	635
1 1 4	39.76	330
2 0 0	41.09	181
1 4 3	43.79	256
2 0 2	44.51	249

Crystal structure
abc: 4.3938 12.3094 10.8398
angles: 90.00 90.00 90.00
Space group Imma (No. 74)
One atom of each set of equivalent atoms:
1 Li 0.0000 0.0414 0.1653 (multiplicity 8)
2 Li 0.0000 0.1479 0.6980 (multiplicity 8)
3 Li 0.0000 0.2500 0.1736 (multiplicity 4)
4 Mg 0.0000 0.0000 0.5000 (multiplicity 4)
5 Mg 0.0000 0.2500 0.4678 (multiplicity 4)
6 Rh 0.0000 0.1410 0.9526 (multiplicity 8)